1.
This entry pairs a crystal structure of Ce3Ga3Pd with its theoretical powder diffraction line list. Radiation: λ = 1.5418 Å (Cu Kα). Structure: a structure optimized by DFT (PBE).

Cell: 3.599 4.508 19.707 Å, 90.00 90.00 90.00°
Atoms (fractional coordinates):
Ce 0.000 0.000 0.000
Ce 0.000 0.000 0.388
Ce 0.000 0.500 0.200
Ce 0.500 0.000 0.700
Ce 0.500 0.500 0.500
Ce 0.500 0.500 0.888
Ga 0.000 0.000 0.557
Ga 0.000 0.000 0.835
Ga 0.000 0.500 0.631
Ga 0.500 0.000 0.131
Ga 0.500 0.500 0.057
Ga 0.500 0.500 0.335
Pd 0.000 0.500 0.763
Pd 0.500 0.000 0.263

Principal peaks in the range 2θ = 15–90°, by intensity:
| 2theta | Rel. int. |
| --- | --- |
| 33.12 | 100 |
| 33.73 | 57 |
| 37.67 | 57 |
| 40.00 | 33 |
| 53.29 | 31 |
| 64.89 | 26 |
| 23.94 | 18 |
| 50.73 | 16 |
| 66.48 | 16 |
| 36.80 | 15 |



2.
This entry pairs a crystal structure of Ce2Ga10Pd with its theoretical powder diffraction line list. Radiation: λ = 1.5418 Å (Cu Kα). Structure: a structure optimized by DFT (PBE).

Cell: 13.429 13.429 13.429 Å, 161.12 161.12 26.83°
Atoms (fractional coordinates):
Ce 0.144 0.144 0.000
Ce 0.856 0.856 0.000
Ga 0.052 0.552 0.500
Ga 0.250 0.750 0.500
Ga 0.302 0.302 0.000
Ga 0.394 0.394 0.000
Ga 0.448 0.948 0.500
Ga 0.552 0.052 0.500
Ga 0.606 0.606 0.000
Ga 0.698 0.698 0.000
Ga 0.750 0.250 0.500
Ga 0.948 0.448 0.500
Pd 0.000 0.000 0.000

Principal peaks in the range 2θ = 15–90°, by intensity:
| 2theta | Rel. int. |
| --- | --- |
| 40.96 | 100 |
| 31.41 | 84 |
| 31.82 | 66 |
| 35.43 | 62 |
| 52.51 | 39 |
| 45.30 | 38 |
| 59.32 | 33 |
| 49.88 | 27 |
| 66.45 | 22 |
| 86.65 | 19 |



3.
This entry pairs a crystal structure of Ce5GaPd with its theoretical powder diffraction line list. Radiation: λ = 1.5418 Å (Cu Kα). Structure: a structure optimized by DFT (PBE).

Cell: 8.304 8.304 8.304 Å, 118.47 78.83 135.80°
Atoms (fractional coordinates):
Ce 0.142 0.000 0.642
Ce 0.142 0.500 0.142
Ce 0.246 0.496 0.750
Ce 0.267 0.232 0.034
Ce 0.302 0.768 0.534
Ce 0.698 0.232 0.466
Ce 0.733 0.768 0.966
Ce 0.754 0.504 0.250
Ce 0.858 0.000 0.358
Ce 0.858 0.500 0.858
Ga 0.236 0.986 0.250
Ga 0.764 0.014 0.750
Pd 0.500 0.000 0.000
Pd 0.500 0.500 0.500

Principal peaks in the range 2θ = 15–90°, by intensity:
| 2theta | Rel. int. |
| --- | --- |
| 33.00 | 100 |
| 38.42 | 60 |
| 35.06 | 43 |
| 42.57 | 33 |
| 31.86 | 32 |
| 28.57 | 26 |
| 56.47 | 23 |
| 53.49 | 22 |
| 37.90 | 21 |
| 52.03 | 20 |



4.
This entry pairs a crystal structure of Ce3Ga4Pd with its theoretical powder diffraction line list. Radiation: λ = 1.5418 Å (Cu Kα). Structure: a structure optimized by DFT (PBE).

Cell: 4.638 6.697 12.706 Å, 90.00 90.00 90.00°
Atoms (fractional coordinates):
Ce 0.000 0.000 0.000
Ce 0.000 0.500 0.174
Ce 0.000 0.500 0.826
Ce 0.500 0.000 0.326
Ce 0.500 0.000 0.674
Ce 0.500 0.500 0.500
Ga 0.000 0.299 0.379
Ga 0.000 0.299 0.621
Ga 0.000 0.701 0.379
Ga 0.000 0.701 0.621
Ga 0.500 0.201 0.121
Ga 0.500 0.201 0.879
Ga 0.500 0.799 0.121
Ga 0.500 0.799 0.879
Pd 0.000 0.000 0.500
Pd 0.500 0.500 0.000

Principal peaks in the range 2θ = 15–90°, by intensity:
| 2theta | Rel. int. |
| --- | --- |
| 27.28 | 100 |
| 36.83 | 51 |
| 38.83 | 40 |
| 33.76 | 39 |
| 39.42 | 36 |
| 47.41 | 24 |
| 24.87 | 24 |
| 40.48 | 22 |
| 76.41 | 21 |
| 39.09 | 18 |



5.
This entry pairs a crystal structure of Ce3Ga3Pd2 with its theoretical powder diffraction line list. Radiation: λ = 1.5418 Å (Cu Kα). Structure: a structure optimized by DFT (PBE).

Cell: 8.278 15.236 5.578 Å, 90.00 90.00 90.00°
Atoms (fractional coordinates):
Ce 0.043 0.108 0.123
Ce 0.043 0.392 0.123
Ce 0.179 0.250 0.627
Ce 0.321 0.750 0.127
Ce 0.457 0.608 0.623
Ce 0.457 0.892 0.623
Ce 0.543 0.108 0.377
Ce 0.543 0.392 0.377
Ce 0.679 0.250 0.873
Ce 0.821 0.750 0.373
Ce 0.957 0.608 0.877
Ce 0.957 0.892 0.877
Ga 0.171 0.750 0.630
Ga 0.190 0.036 0.608
Ga 0.190 0.464 0.608
Ga 0.310 0.536 0.108
Ga 0.310 0.964 0.108
Ga 0.329 0.250 0.130
Ga 0.671 0.750 0.870
Ga 0.690 0.036 0.892
Ga 0.690 0.464 0.892
Ga 0.810 0.536 0.392
Ga 0.810 0.964 0.392
Ga 0.829 0.250 0.370
Pd 0.095 0.609 0.373
Pd 0.095 0.891 0.373
Pd 0.405 0.109 0.873
Pd 0.405 0.391 0.873
Pd 0.595 0.609 0.127
Pd 0.595 0.891 0.127
Pd 0.905 0.109 0.627
Pd 0.905 0.391 0.627

Principal peaks in the range 2θ = 15–90°, by intensity:
| 2theta | Rel. int. |
| --- | --- |
| 31.93 | 100 |
| 35.86 | 94 |
| 38.39 | 84 |
| 34.44 | 71 |
| 35.32 | 55 |
| 36.32 | 53 |
| 41.59 | 41 |
| 46.82 | 39 |
| 40.57 | 33 |
| 54.62 | 32 |



6.
This entry pairs a crystal structure of Ce2Ga4Pd5 with its theoretical powder diffraction line list. Radiation: λ = 1.5418 Å (Cu Kα). Structure: a structure optimized by DFT (PBE).

Cell: 9.178 8.331 5.565 Å, 79.98 63.36 36.66°
Atoms (fractional coordinates):
Ce 0.133 0.133 0.867
Ce 0.867 0.867 0.133
Ga 0.215 0.527 0.473
Ga 0.473 0.785 0.215
Ga 0.527 0.215 0.785
Ga 0.785 0.473 0.527
Pd 0.000 0.000 0.500
Pd 0.250 0.250 0.250
Pd 0.500 0.500 0.000
Pd 0.500 0.500 0.500
Pd 0.750 0.750 0.750

Principal peaks in the range 2θ = 15–90°, by intensity:
| 2theta | Rel. int. |
| --- | --- |
| 39.19 | 100 |
| 36.60 | 93 |
| 36.80 | 76 |
| 29.47 | 65 |
| 46.38 | 46 |
| 24.96 | 36 |
| 43.51 | 33 |
| 60.62 | 33 |
| 32.69 | 32 |
| 67.32 | 30 |



7.
This entry pairs a crystal structure of Ce5Ga2Pd2 with its theoretical powder diffraction line list. Radiation: λ = 1.5418 Å (Cu Kα). Structure: a structure optimized by DFT (PBE).

Cell: 8.371 8.371 8.329 Å, 90.00 90.00 51.90°
Atoms (fractional coordinates):
Ce 0.000 0.000 0.000
Ce 0.034 0.693 0.681
Ce 0.193 0.534 0.181
Ce 0.307 0.966 0.681
Ce 0.466 0.807 0.181
Ce 0.500 0.500 0.500
Ce 0.534 0.193 0.819
Ce 0.693 0.034 0.319
Ce 0.807 0.466 0.819
Ce 0.966 0.307 0.319
Ga 0.209 0.209 0.000
Ga 0.291 0.291 0.500
Ga 0.709 0.709 0.500
Ga 0.791 0.791 0.000
Pd 0.131 0.869 0.379
Pd 0.369 0.631 0.879
Pd 0.631 0.369 0.121
Pd 0.869 0.131 0.621

Principal peaks in the range 2θ = 15–90°, by intensity:
| 2theta | Rel. int. |
| --- | --- |
| 35.85 | 100 |
| 30.45 | 88 |
| 38.90 | 61 |
| 32.05 | 56 |
| 35.07 | 52 |
| 32.55 | 38 |
| 34.16 | 35 |
| 26.58 | 21 |
| 29.16 | 19 |
| 67.08 | 17 |



8.
This entry pairs a crystal structure of Ce2Ga4Pd3Pt with its theoretical powder diffraction line list. Radiation: λ = 1.5418 Å (Cu Kα). Structure: a structure optimized by DFT (PBE).

Cell: 4.295 4.295 10.431 Å, 90.00 90.00 90.00°
Atoms (fractional coordinates):
Ce 0.000 0.500 0.247
Ce 0.500 0.000 0.753
Ga 0.000 0.000 0.000
Ga 0.000 0.500 0.630
Ga 0.500 0.000 0.370
Ga 0.500 0.500 0.000
Pd 0.000 0.500 0.867
Pd 0.500 0.000 0.133
Pd 0.500 0.500 0.500
Pt 0.000 0.000 0.500

Principal peaks in the range 2θ = 15–90°, by intensity:
| 2theta | Rel. int. |
| --- | --- |
| 34.17 | 100 |
| 42.08 | 58 |
| 33.15 | 49 |
| 54.59 | 23 |
| 71.83 | 23 |
| 48.51 | 22 |
| 45.87 | 21 |
| 61.03 | 19 |
| 66.13 | 17 |
| 87.53 | 13 |



9.
This entry pairs a crystal structure of Ce2GaSiPd6 with its theoretical powder diffraction line list. Radiation: λ = 1.5418 Å (Cu Kα). Structure: a structure optimized by DFT (PBE).

Cell: 5.683 5.683 7.986 Å, 110.83 110.83 59.98°
Atoms (fractional coordinates):
Ce 0.213 0.213 0.141
Ce 0.787 0.787 0.859
Ga 0.500 0.500 0.000
Si 0.000 0.000 0.500
Pd 0.245 0.245 0.727
Pd 0.246 0.741 0.729
Pd 0.259 0.754 0.271
Pd 0.741 0.246 0.729
Pd 0.754 0.259 0.271
Pd 0.755 0.755 0.273

Principal peaks in the range 2θ = 15–90°, by intensity:
| 2theta | Rel. int. |
| --- | --- |
| 40.21 | 100 |
| 37.46 | 80 |
| 24.45 | 44 |
| 65.73 | 25 |
| 34.02 | 24 |
| 49.89 | 23 |
| 33.87 | 21 |
| 27.30 | 21 |
| 45.43 | 17 |
| 71.25 | 13 |



10.
This entry pairs a crystal structure of CeYGa2Pd4 with its theoretical powder diffraction line list. Radiation: λ = 1.5418 Å (Cu Kα). Structure: a structure optimized by DFT (PBE).

Cell: 7.130 5.685 7.470 Å, 90.00 90.00 90.00°
Atoms (fractional coordinates):
Ce 0.000 0.102 0.000
Ce 0.000 0.898 0.500
Y 0.500 0.400 0.068
Y 0.500 0.600 0.568
Ga 0.000 0.400 0.647
Ga 0.000 0.600 0.147
Ga 0.500 0.101 0.418
Ga 0.500 0.899 0.918
Pd 0.199 0.336 0.351
Pd 0.199 0.664 0.851
Pd 0.301 0.165 0.718
Pd 0.301 0.835 0.218
Pd 0.699 0.165 0.718
Pd 0.699 0.835 0.218
Pd 0.801 0.336 0.351
Pd 0.801 0.664 0.851

Principal peaks in the range 2θ = 15–90°, by intensity:
| 2theta | Rel. int. |
| --- | --- |
| 36.08 | 100 |
| 34.79 | 86 |
| 39.51 | 74 |
| 38.33 | 66 |
| 42.99 | 60 |
| 42.43 | 49 |
| 31.28 | 43 |
| 33.74 | 41 |
| 31.96 | 36 |
| 51.54 | 30 |



11.
This entry pairs a crystal structure of CeZnGaPd3 with its theoretical powder diffraction line list. Radiation: λ = 1.5418 Å (Cu Kα). Structure: a structure optimized by DFT (PBE).

Cell: 6.971 6.971 5.762 Å, 90.00 90.00 124.85°
Atoms (fractional coordinates):
Ce 0.196 0.804 0.750
Ce 0.804 0.196 0.250
Zn 0.139 0.861 0.250
Zn 0.861 0.139 0.750
Ga 0.437 0.563 0.750
Ga 0.563 0.437 0.250
Pd 0.211 0.211 0.000
Pd 0.211 0.211 0.500
Pd 0.343 0.657 0.250
Pd 0.657 0.343 0.750
Pd 0.789 0.789 0.000
Pd 0.789 0.789 0.500

Principal peaks in the range 2θ = 15–90°, by intensity:
| 2theta | Rel. int. |
| --- | --- |
| 42.04 | 100 |
| 31.27 | 61 |
| 34.34 | 56 |
| 32.89 | 40 |
| 43.49 | 37 |
| 40.42 | 30 |
| 42.92 | 30 |
| 42.17 | 29 |
| 62.45 | 20 |
| 27.64 | 19 |



12.
This entry pairs a crystal structure of Ce4PmGa4 with its theoretical powder diffraction line list. Radiation: λ = 1.5418 Å (Cu Kα). Structure: a structure optimized by DFT (PBE).

Cell: 6.749 6.749 10.122 Å, 90.00 90.00 90.00°
Atoms (fractional coordinates):
Ce 0.006 0.250 0.183
Ce 0.250 0.006 0.683
Ce 0.250 0.494 0.683
Ce 0.494 0.250 0.183
Ce 0.506 0.750 0.817
Ce 0.750 0.506 0.317
Ce 0.750 0.994 0.317
Ce 0.994 0.750 0.817
Pm 0.250 0.750 0.250
Pm 0.750 0.250 0.750
Ga 0.032 0.250 0.482
Ga 0.250 0.032 0.982
Ga 0.250 0.468 0.982
Ga 0.468 0.250 0.482
Ga 0.532 0.750 0.518
Ga 0.750 0.532 0.018
Ga 0.750 0.968 0.018
Ga 0.968 0.750 0.518

Principal peaks in the range 2θ = 15–90°, by intensity:
| 2theta | Rel. int. |
| --- | --- |
| 37.70 | 100 |
| 30.92 | 73 |
| 68.06 | 36 |
| 54.38 | 21 |
| 49.52 | 15 |
| 46.85 | 15 |
| 37.98 | 15 |
| 21.95 | 14 |
| 15.78 | 12 |
| 25.66 | 12 |



Q: What is the formula in the twelfth record?
A: Ce4PmGa4